No. 1
Diffraction record for ZrH2Se2O9. The PXRD pattern is simulated, not measured: it uses a PBE-relaxed structure and Cu Kα.
Neutral-atom scattering factors, no anomalous dispersion.

Peak list (8 most intense, 2θ from 10° to 80°, in order of falling intensity)
d/Å  I (rel.)
3.369  1000
3.819  929
7.038  475
2.506  316
2.731  315
3.909  303
2.810  254
3.431  234

Structural model:
```
ZrH2Se2O9
1.0
5.2922 0.0000 0.0000
0.0000 7.8186 0.0000
-4.9263 0.0000 16.1639
Zr H Se O
4 8 8 36
direct
0.2016 0.1199 0.3596 Zr
0.2016 0.3801 0.8596 Zr
0.7984 0.6199 0.1404 Zr
0.7984 0.8801 0.6404 Zr
0.1804 0.0478 0.9328 H
0.1804 0.4522 0.4328 H
0.3243 0.0291 0.8640 H
0.3243 0.4709 0.3640 H
0.6757 0.5291 0.6360 H
0.6757 0.9709 0.1360 H
0.8196 0.5478 0.5672 H
0.8196 0.9522 0.0672 H
0.1673 0.7104 0.9981 Se
0.1673 0.7896 0.4981 Se
0.4364 0.7406 0.2778 Se
0.4364 0.7594 0.7778 Se
0.5636 0.2406 0.2222 Se
0.5636 0.2594 0.7222 Se
0.8327 0.2104 0.5019 Se
0.8327 0.2896 0.0019 Se
0.1051 0.1628 0.4754 O
0.1051 0.3372 0.9754 O
0.1236 0.6402 0.9014 O
0.1236 0.8598 0.4014 O
0.1870 0.6307 0.2113 O
0.1870 0.8693 0.7113 O
0.1966 0.1037 0.8812 O
0.1966 0.3963 0.3812 O
0.2356 0.5860 0.5098 O
0.2356 0.9140 0.0098 O
0.3172 0.5613 0.7796 O
0.3172 0.9387 0.2796 O
0.3289 0.2310 0.7691 O
0.3289 0.2690 0.2691 O
0.4142 0.5998 0.0639 O
0.4142 0.9002 0.5639 O
0.4610 0.1390 0.1347 O
0.4610 0.3610 0.6347 O
0.5390 0.6390 0.3653 O
0.5390 0.8610 0.8653 O
0.5858 0.0998 0.4361 O
0.5858 0.4002 0.9361 O
0.6711 0.7310 0.7309 O
0.6711 0.7690 0.2309 O
0.6828 0.0613 0.7204 O
0.6828 0.4387 0.2204 O
0.7644 0.0860 0.9902 O
0.7644 0.4140 0.4902 O
0.8034 0.6037 0.6188 O
0.8034 0.8963 0.1188 O
0.8130 0.1307 0.2887 O
0.8130 0.3693 0.7887 O
0.8764 0.1402 0.5986 O
0.8764 0.3598 0.0986 O
0.8949 0.6628 0.0246 O
0.8949 0.8372 0.5246 O
```

No. 2
Diffraction record for SmSiH2O4. The PXRD pattern is simulated, not measured: it uses a PBE-relaxed structure and Cu Kα.
Neutral-atom scattering factors, no anomalous dispersion.

Peak list (8 most intense, 2θ from 10° to 80°, in order of falling intensity)
d/Å  I (rel.)
3.700  1000
4.188  823
2.570  765
4.800  764
2.937  720
2.905  561
2.681  502
2.485  358

Structural model:
```
SmSiH2O4
1.0
4.9276 0.0000 0.0000
0.0000 5.8094 0.0000
-2.8008 0.0000 12.0874
Sm Si H O
4 4 8 16
direct
0.1024 0.2389 0.3413 Sm
0.1024 0.2611 0.8413 Sm
0.8976 0.7389 0.1587 Sm
0.8976 0.7611 0.6587 Sm
0.2448 0.2431 0.0989 Si
0.2448 0.2569 0.5989 Si
0.7552 0.7431 0.4011 Si
0.7552 0.7569 0.9011 Si
0.2763 0.7487 0.4782 H
0.2763 0.7513 0.9782 H
0.4948 0.0079 0.7463 H
0.4948 0.4921 0.2463 H
0.5052 0.5079 0.7537 H
0.5052 0.9921 0.2537 H
0.7237 0.2487 0.0218 H
0.7237 0.2513 0.5218 H
0.0630 0.7452 0.9871 O
0.0630 0.7548 0.4871 O
0.2697 0.0235 0.1867 O
0.2697 0.4765 0.6867 O
0.2841 0.0340 0.6881 O
0.2841 0.4660 0.1881 O
0.4390 0.2466 0.0101 O
0.4390 0.2534 0.5101 O
0.5610 0.7466 0.4899 O
0.5610 0.7534 0.9899 O
0.7159 0.5340 0.8119 O
0.7159 0.9660 0.3119 O
0.7303 0.5235 0.3133 O
0.7303 0.9765 0.8133 O
0.9370 0.2452 0.5129 O
0.9370 0.2548 0.0129 O
```

No. 3
Diffraction record for SmSiH2O4. The PXRD pattern is simulated, not measured: it uses a PBE-relaxed structure and Cu Kα.
Neutral-atom scattering factors, no anomalous dispersion.

Peak list (8 most intense, 2θ from 10° to 80°, in order of falling intensity)
d/Å  I (rel.)
3.086  1000
3.267  742
5.132  595
1.849  495
2.756  243
2.546  229
1.543  197
1.750  190

Structural model:
```
SmSiH2O4
1.0
-3.2666 3.2666 4.1463
3.2666 -3.2666 4.1463
3.2666 3.2666 -4.1463
Sm Si H O
2 2 4 8
direct
0.3750 0.6250 0.7500 Sm
0.6250 0.3750 0.2500 Sm
0.1250 0.8750 0.2500 Si
0.8750 0.1250 0.7500 Si
0.1025 0.3525 0.7500 H
0.3525 0.1025 0.2500 H
0.6475 0.8975 0.7500 H
0.8975 0.6475 0.2500 H
0.1728 0.7383 0.4345 O
0.1962 0.2617 0.9345 O
0.2617 0.1962 0.4345 O
0.2617 0.8272 0.0655 O
0.7383 0.1728 0.9345 O
0.7383 0.8038 0.5655 O
0.8038 0.7383 0.0655 O
0.8272 0.2617 0.5655 O
```

No. 4
Diffraction record for TmSiHO4. The PXRD pattern is simulated, not measured: it uses a PBE-relaxed structure and Cu Kα.
Neutral-atom scattering factors, no anomalous dispersion.

Peak list (8 most intense, 2θ from 10° to 80°, in order of falling intensity)
d/Å  I (rel.)
4.739  1000
3.346  871
3.511  768
2.488  607
2.438  542
2.848  391
4.354  365
2.823  363

Structural model:
```
TmSiHO4
1.0
7.6280 0.0000 0.0000
0.0000 6.4223 0.0000
-2.6198 0.0000 6.1690
Tm Si H O
4 4 4 16
direct
0.2054 0.1400 0.1088 Tm
0.2054 0.3600 0.6088 Tm
0.7946 0.6400 0.3912 Tm
0.7946 0.8600 0.8912 Tm
0.2463 0.6061 0.1340 Si
0.2463 0.8939 0.6340 Si
0.7537 0.1061 0.3660 Si
0.7537 0.3939 0.8660 Si
0.4739 0.6868 0.8859 H
0.4739 0.8132 0.3859 H
0.5261 0.1868 0.6141 H
0.5261 0.3132 0.1141 H
0.1014 0.6978 0.5565 O
0.1014 0.8022 0.0565 O
0.2015 0.0647 0.7861 O
0.2015 0.4353 0.2861 O
0.2745 0.0364 0.4473 O
0.2745 0.4636 0.9473 O
0.4655 0.7079 0.2752 O
0.4655 0.7921 0.7752 O
0.5345 0.2079 0.2248 O
0.5345 0.2921 0.7248 O
0.7255 0.5364 0.0527 O
0.7255 0.9636 0.5527 O
0.7985 0.5647 0.7139 O
0.7985 0.9353 0.2139 O
0.8986 0.1978 0.9435 O
0.8986 0.3022 0.4435 O
```

No. 5
Diffraction record for TmSiHO4. The PXRD pattern is simulated, not measured: it uses a PBE-relaxed structure and Cu Kα.
Neutral-atom scattering factors, no anomalous dispersion.

Peak list (8 most intense, 2θ from 10° to 80°, in order of falling intensity)
d/Å  I (rel.)
3.776  1000
2.951  947
2.985  792
4.131  779
3.015  689
3.716  655
5.010  651
2.370  527

Structural model:
```
TmSiHO4
1.0
4.3640 0.0000 0.0000
0.0000 5.0103 0.0000
-4.2323 0.0000 7.3023
Tm Si H O
2 2 2 8
direct
0.0000 0.0939 0.0000 Tm
0.0000 0.9061 0.5000 Tm
0.7839 0.4127 0.2318 Si
0.7839 0.5873 0.7318 Si
0.4881 0.3077 0.3745 H
0.4881 0.6923 0.8745 H
0.1547 0.2704 0.2694 O
0.1547 0.7296 0.7694 O
0.5039 0.2521 0.0449 O
0.5039 0.7479 0.5449 O
0.7435 0.2679 0.7359 O
0.7435 0.7321 0.2359 O
0.7775 0.3066 0.4194 O
0.7775 0.6934 0.9194 O
```

No. 6
Diffraction record for Tm3Si2H4O9. The PXRD pattern is simulated, not measured: it uses a PBE-relaxed structure and Cu Kα.
Neutral-atom scattering factors, no anomalous dispersion.

Peak list (8 most intense, 2θ from 10° to 80°, in order of falling intensity)
d/Å  I (rel.)
7.712  1000
2.558  587
2.218  422
3.856  266
1.865  246
2.711  236
1.571  147
1.534  117

Structural model:
```
Tm3Si2H4O9
1.0
5.4230 0.0000 0.0000
-2.7115 4.6964 0.0000
0.0000 0.0000 7.7117
Tm Si H O
3 2 4 9
direct
0.0000 0.3260 0.0000 Tm
0.3260 0.0000 0.0000 Tm
0.6740 0.6740 0.0000 Tm
0.3333 0.6667 0.6029 Si
0.6667 0.3333 0.6029 Si
0.0000 0.0000 0.6728 H
0.0000 0.6447 0.3052 H
0.3553 0.3553 0.3052 H
0.6447 0.0000 0.3052 H
0.0000 0.0000 0.8006 O
0.0000 0.5091 0.5274 O
0.0000 0.6628 0.1785 O
0.3333 0.6667 0.8119 O
0.3372 0.3372 0.1785 O
0.4909 0.4909 0.5274 O
0.5091 0.0000 0.5274 O
0.6628 0.0000 0.1785 O
0.6667 0.3333 0.8119 O
```

No. 7
Diffraction record for SmH2O2. The PXRD pattern is simulated, not measured: it uses a PBE-relaxed structure and Cu Kα.
Neutral-atom scattering factors, no anomalous dispersion.

Peak list (8 most intense, 2θ from 10° to 80°, in order of falling intensity)
d/Å  I (rel.)
3.577  1000
3.383  647
3.445  641
3.710  574
2.161  328
1.826  317
4.362  286
2.198  240

Structural model:
```
SmH2O2
1.0
4.9421 0.0000 0.0000
0.0000 5.6167 0.0000
0.0000 0.0000 9.2808
Sm H O
4 8 8
direct
0.1394 0.0041 0.3910 Sm
0.3606 0.9959 0.8910 Sm
0.6394 0.4959 0.6090 Sm
0.8606 0.5041 0.1090 Sm
0.1528 0.7280 0.6750 H
0.1758 0.4631 0.8565 H
0.3242 0.5369 0.3565 H
0.3472 0.2720 0.1750 H
0.6528 0.7720 0.3250 H
0.6758 0.0369 0.1435 H
0.8242 0.9631 0.6435 H
0.8472 0.2280 0.8250 H
0.0974 0.3328 0.9175 O
0.1914 0.3250 0.2391 O
0.3086 0.6750 0.7391 O
0.4026 0.6672 0.4175 O
0.5974 0.1672 0.0825 O
0.6914 0.1750 0.7609 O
0.8086 0.8250 0.2609 O
0.9026 0.8328 0.5825 O
```